Starting from DFT lattice parameters and positions (PBE), the X-ray powder pattern of La6NdTm4 was computed for a wavelength of 1.5418 Å.
Neutral-atom scattering factors, no anomalous dispersion.

Most intense lines, 15° ≤ 2θ ≤ 90°, by angle:
d [Å]  I (rel.)
3.018  56
2.996  40
2.935  60
2.875  100
2.858  13
2.759  52
2.742  15
2.097  30
1.683  21
1.679  19
1.659  17
1.640  13

Atomic structure:
```
22
Lattice="2.9350 -4.9468 0.0000 2.9350 4.9468 0.0000 0.0000 0.0000 26.3600" Properties=species:S:1:pos:R:3 pbc="T T T"
La 0.0000 0.0000 0.0000
La 0.0000 0.0000 13.1800
La 2.9350 4.6622 19.7700
La 2.9350 1.8067 2.4905
La 2.9350 1.8067 10.6895
La 2.9350 1.4230 17.9448
La 2.9350 1.4230 21.5953
La 2.9350 -1.4230 4.7647
La 2.9350 -1.4230 8.4153
La 2.9350 -1.8067 15.6705
La 2.9350 -1.8067 23.8695
La 2.9350 -4.6622 6.5900
Nd 2.9350 1.8854 6.5900
Nd 2.9350 -1.8854 19.7700
Tm 2.9350 4.7366 16.4687
Tm 2.9350 4.7366 23.0714
Tm 2.9350 1.5749 14.3888
Tm 2.9350 1.5749 25.1513
Tm 2.9350 -1.5749 1.2088
Tm 2.9350 -1.5749 11.9713
Tm 2.9350 -4.7366 3.2887
Tm 2.9350 -4.7366 9.8913
```